# 1
This entry pairs a crystal structure of Y12Ho2Sc5 with its computed XRD peak list. Radiation: Cu Kα, 1.54184 Å. Structure: a crystal structure in Alexandria, relaxed with GGA-PBE.
No peak broadening, texture or thermal motion is included.

Peak list (8 most intense, 2θ from 15° to 90°, sorted by position)
| 2theta | Rel. int. |
| --- | --- |
| 23.74 | 18 |
| 31.46 | 84 |
| 32.38 | 100 |
| 33.00 | 39 |
| 34.09 | 42 |
| 35.29 | 34 |
| 55.45 | 17 |
| 60.42 | 18 |

Structure:
```
Y12Ho2Sc5
1.0
7.959 -4.368 0.000
7.959 4.368 0.000
-0.154 0.000 8.413
Y Ho Sc
12 2 5
Direct
0.055 0.055 0.273
0.098 0.684 0.386
0.111 0.517 0.776
0.316 0.902 0.614
0.334 0.334 0.129
0.483 0.889 0.224
0.517 0.111 0.776
0.666 0.666 0.871
0.684 0.098 0.386
0.889 0.483 0.224
0.902 0.316 0.614
0.945 0.945 0.727
0.286 0.714 0.000
0.714 0.286 0.000
0.146 0.146 0.940
0.256 0.256 0.451
0.500 0.500 0.500
0.744 0.744 0.549
0.854 0.854 0.060
```

# 2
This entry pairs a crystal structure of Y7Ho2Sc2 with its computed XRD peak list. Radiation: Cu Kα, 1.54184 Å. Structure: a crystal structure in Alexandria, relaxed with GGA-PBE.
No peak broadening, texture or thermal motion is included.

Peak list (8 most intense, 2θ from 15° to 90°, sorted by position)
| 2theta | Rel. int. |
| --- | --- |
| 15.75 | 11 |
| 28.58 | 23 |
| 31.71 | 31 |
| 31.81 | 20 |
| 33.31 | 100 |
| 45.53 | 14 |
| 57.51 | 19 |
| 60.48 | 15 |

Structure:
```
Y7Ho2Sc2
1.0
-1.823 5.626 8.465
1.823 -5.626 8.465
1.823 5.626 -8.465
Y Ho Sc
7 2 2
Direct
0.000 0.000 0.000
0.068 0.837 0.231
0.340 0.340 0.000
0.393 0.163 0.231
0.607 0.837 0.769
0.660 0.660 0.000
0.932 0.163 0.769
0.293 0.500 0.793
0.707 0.500 0.207
0.177 0.677 0.500
0.823 0.323 0.500
```

# 3
This entry pairs a crystal structure of Y2Ho5Sc with its computed XRD peak list. Radiation: Cu Kα, 1.54184 Å. Structure: a crystal structure in Alexandria, relaxed with GGA-PBE.
No peak broadening, texture or thermal motion is included.

Peak list (8 most intense, 2θ from 15° to 90°, sorted by position)
| 2theta | Rel. int. |
| --- | --- |
| 31.28 | 100 |
| 36.24 | 34 |
| 36.34 | 17 |
| 52.23 | 35 |
| 62.11 | 28 |
| 62.25 | 14 |
| 65.25 | 12 |
| 85.48 | 12 |

Structure:
```
Y2Ho5Sc
1.0
7.009 0.000 0.000
0.000 14.028 0.000
0.000 0.000 4.944
Y Ho Sc
4 10 2
Direct
0.248 0.123 0.000
0.252 0.623 0.000
0.748 0.377 0.000
0.752 0.877 0.000
0.000 0.500 0.500
0.001 0.752 0.500
0.249 0.876 0.000
0.251 0.376 0.000
0.499 0.252 0.500
0.500 0.000 0.500
0.501 0.748 0.500
0.749 0.624 0.000
0.751 0.124 0.000
0.999 0.248 0.500
0.000 0.000 0.500
0.500 0.500 0.500
```

# 4
This entry pairs a crystal structure of Y2Ho3Sc2 with its computed XRD peak list. Radiation: Cu Kα, 1.54184 Å. Structure: a crystal structure in Alexandria, relaxed with GGA-PBE.
No peak broadening, texture or thermal motion is included.

Peak list (8 most intense, 2θ from 15° to 90°, sorted by position)
| 2theta | Rel. int. |
| --- | --- |
| 16.91 | 25 |
| 27.84 | 26 |
| 29.28 | 67 |
| 31.93 | 29 |
| 32.39 | 68 |
| 32.77 | 100 |
| 33.62 | 57 |
| 35.28 | 28 |

Structure:
```
Y2Ho3Sc2
1.0
6.259 0.000 0.000
0.000 10.484 0.000
-0.315 0.000 6.408
Y Ho Sc
4 6 4
Direct
0.143 0.240 0.248
0.143 0.260 0.748
0.857 0.740 0.252
0.857 0.760 0.752
0.000 0.000 0.000
0.000 0.500 0.500
0.257 0.558 0.031
0.257 0.942 0.531
0.743 0.058 0.469
0.743 0.442 0.969
0.445 0.644 0.533
0.445 0.856 0.033
0.555 0.144 0.967
0.555 0.356 0.467
```

# 5
This entry pairs a crystal structure of Y5Ho4Sc with its computed XRD peak list. Radiation: Cu Kα, 1.54184 Å. Structure: a crystal structure in Alexandria, relaxed with GGA-PBE.
No peak broadening, texture or thermal motion is included.

Peak list (8 most intense, 2θ from 15° to 90°, sorted by position)
| 2theta | Rel. int. |
| --- | --- |
| 24.38 | 17 |
| 29.75 | 100 |
| 31.05 | 17 |
| 36.10 | 35 |
| 48.34 | 18 |
| 51.98 | 11 |
| 54.43 | 15 |
| 61.04 | 20 |

Structure:
```
Y5Ho4Sc
1.0
-5.278 5.278 2.881
5.278 -5.278 2.881
5.278 5.278 -2.881
Y Ho Sc
5 4 1
Direct
0.000 0.000 0.000
0.518 0.518 0.626
0.518 0.892 0.000
0.892 0.518 0.000
0.892 0.892 0.374
0.218 0.543 0.325
0.218 0.894 0.675
0.543 0.218 0.325
0.894 0.218 0.675
0.466 0.466 0.000
```

# 6
This entry pairs a crystal structure of YHoSc4 with its computed XRD peak list. Radiation: Cu Kα, 1.54184 Å. Structure: a crystal structure in Alexandria, relaxed with GGA-PBE.
No peak broadening, texture or thermal motion is included.

Peak list (8 most intense, 2θ from 15° to 90°, sorted by position)
| 2theta | Rel. int. |
| --- | --- |
| 19.35 | 43 |
| 33.44 | 100 |
| 33.85 | 77 |
| 48.32 | 35 |
| 60.30 | 35 |
| 60.56 | 13 |
| 66.78 | 20 |
| 80.99 | 15 |

Structure:
```
YHoSc4
1.0
3.302 0.000 0.000
0.000 5.294 0.000
0.000 0.000 9.178
Y Ho Sc
1 1 4
Direct
0.000 0.000 0.000
0.000 0.500 0.500
0.500 0.000 0.334
0.500 0.000 0.666
0.500 0.500 0.167
0.500 0.500 0.833
```

# 7
This entry pairs a crystal structure of Y4HoSc with its computed XRD peak list. Radiation: Cu Kα, 1.54184 Å. Structure: a crystal structure in Alexandria, relaxed with GGA-PBE.
No peak broadening, texture or thermal motion is included.

Peak list (8 most intense, 2θ from 15° to 90°, sorted by position)
| 2theta | Rel. int. |
| --- | --- |
| 22.58 | 24 |
| 31.99 | 100 |
| 32.22 | 36 |
| 32.33 | 67 |
| 46.06 | 24 |
| 57.45 | 23 |
| 57.52 | 12 |
| 63.64 | 28 |

Structure:
```
Y4HoSc
1.0
5.557 0.000 0.000
0.000 6.884 0.000
0.000 0.000 9.582
Y Ho Sc
8 2 2
Direct
0.000 0.245 0.181
0.000 0.246 0.847
0.000 0.754 0.153
0.000 0.755 0.819
0.500 0.245 0.319
0.500 0.246 0.653
0.500 0.754 0.347
0.500 0.755 0.681
0.000 0.500 0.500
0.500 0.500 0.000
0.000 0.000 0.500
0.500 0.000 0.000
```

# 8
This entry pairs a crystal structure of YHo8Sc6 with its computed XRD peak list. Radiation: Cu Kα, 1.54184 Å. Structure: a crystal structure in Alexandria, relaxed with GGA-PBE.
No peak broadening, texture or thermal motion is included.

Peak list (8 most intense, 2θ from 15° to 90°, sorted by position)
| 2theta | Rel. int. |
| --- | --- |
| 17.19 | 39 |
| 30.01 | 42 |
| 30.43 | 85 |
| 31.27 | 100 |
| 34.03 | 67 |
| 39.39 | 38 |
| 40.38 | 47 |
| 61.89 | 41 |

Structure:
```
YHo8Sc6
1.0
11.910 0.000 0.000
-5.955 10.315 0.000
0.000 0.000 3.574
Y Ho Sc
1 8 6
Direct
0.000 0.000 0.000
0.096 0.328 0.500
0.232 0.904 0.500
0.328 0.232 0.500
0.333 0.667 0.500
0.667 0.333 0.500
0.672 0.768 0.500
0.768 0.096 0.500
0.904 0.672 0.500
0.114 0.630 0.000
0.370 0.484 0.000
0.484 0.114 0.000
0.516 0.886 0.000
0.630 0.516 0.000
0.886 0.370 0.000
```

# 9
This entry pairs a crystal structure of Y4HoSc5 with its computed XRD peak list. Radiation: Cu Kα, 1.54184 Å. Structure: a crystal structure in Alexandria, relaxed with GGA-PBE.
No peak broadening, texture or thermal motion is included.

Peak list (8 most intense, 2θ from 15° to 90°, sorted by position)
| 2theta | Rel. int. |
| --- | --- |
| 28.97 | 66 |
| 33.03 | 88 |
| 33.33 | 100 |
| 33.38 | 84 |
| 33.61 | 82 |
| 34.43 | 64 |
| 37.50 | 45 |
| 54.25 | 43 |

Structure:
```
Y4HoSc5
1.0
8.134 -1.691 0.000
8.134 1.691 0.000
-3.537 0.000 10.255
Y Ho Sc
4 1 5
Direct
0.091 0.091 0.303
0.391 0.391 0.207
0.609 0.609 0.793
0.909 0.909 0.697
0.500 0.500 0.000
0.192 0.192 0.080
0.213 0.213 0.618
0.500 0.500 0.500
0.787 0.787 0.382
0.808 0.808 0.920
```

# 10
This entry pairs a crystal structure of YHo5Sc5 with its computed XRD peak list. Radiation: Cu Kα, 1.54184 Å. Structure: a crystal structure in Alexandria, relaxed with GGA-PBE.
No peak broadening, texture or thermal motion is included.

Peak list (8 most intense, 2θ from 15° to 90°, sorted by position)
| 2theta | Rel. int. |
| --- | --- |
| 23.82 | 21 |
| 29.81 | 100 |
| 30.96 | 88 |
| 32.00 | 19 |
| 36.70 | 18 |
| 43.51 | 24 |
| 54.36 | 37 |
| 58.78 | 18 |

Structure:
```
YHo5Sc5
1.0
5.776 0.000 0.000
-2.888 5.002 0.000
0.000 0.000 11.233
Y Ho Sc
1 5 5
Direct
0.000 0.000 0.000
0.000 0.000 0.320
0.000 0.000 0.680
0.333 0.667 0.161
0.333 0.667 0.839
0.667 0.333 0.000
0.502 0.004 0.500
0.502 0.498 0.500
0.667 0.333 0.269
0.667 0.333 0.731
0.996 0.498 0.500
```

# 11
This entry pairs a crystal structure of Y4HoSc3 with its computed XRD peak list. Radiation: Cu Kα, 1.54184 Å. Structure: a crystal structure in Alexandria, relaxed with GGA-PBE.
No peak broadening, texture or thermal motion is included.

Peak list (8 most intense, 2θ from 15° to 90°, sorted by position)
| 2theta | Rel. int. |
| --- | --- |
| 31.71 | 100 |
| 31.92 | 33 |
| 36.84 | 66 |
| 52.95 | 22 |
| 53.23 | 22 |
| 63.14 | 22 |
| 63.43 | 13 |
| 66.25 | 11 |

Structure:
```
Y4HoSc3
1.0
5.948 -3.462 0.000
5.948 3.462 0.000
-2.000 0.000 5.641
Y Ho Sc
4 1 3
Direct
0.000 0.500 0.000
0.248 0.248 0.495
0.500 0.000 0.000
0.752 0.752 0.505
0.500 0.500 0.000
0.000 0.000 0.000
0.247 0.753 0.500
0.753 0.247 0.500
```

# 12
This entry pairs a crystal structure of Y3Ho5Sc3 with its computed XRD peak list. Radiation: Cu Kα, 1.54184 Å. Structure: a crystal structure in Alexandria, relaxed with GGA-PBE.
No peak broadening, texture or thermal motion is included.

Peak list (8 most intense, 2θ from 15° to 90°, sorted by position)
| 2theta | Rel. int. |
| --- | --- |
| 15.93 | 96 |
| 19.19 | 36 |
| 27.44 | 100 |
| 29.51 | 70 |
| 32.18 | 57 |
| 33.71 | 96 |
| 37.36 | 73 |
| 44.22 | 46 |

Structure:
```
Y3Ho5Sc3
1.0
9.249 0.000 0.000
-4.624 8.010 0.000
0.000 0.000 5.563
Y Ho Sc
3 5 3
Direct
0.000 0.531 0.000
0.469 0.469 0.000
0.531 0.000 0.000
0.000 0.744 0.500
0.256 0.256 0.500
0.333 0.667 0.500
0.667 0.333 0.500
0.744 0.000 0.500
0.000 0.379 0.500
0.379 0.000 0.500
0.621 0.621 0.500
```